Structure and computed PXRD pattern of Pr6Rh2SeI3 (DFT lattice parameters and positions (GGA-PBE); Cu Ka).
Lines closer than 0.1° are merged.

Crystal structure
Unit cell a=7.460 b=7.460 c=8.405 alpha=98.48 beta=98.48 gamma=119.97
Sites, in units of the cell vectors:
Pr 0.081 0.436 0.810
Pr 0.208 0.208 0.189
Pr 0.436 0.081 0.810
Pr 0.564 0.919 0.190
Pr 0.792 0.792 0.811
Pr 0.919 0.564 0.190
Rh 0.167 0.833 0.000
Rh 0.833 0.167 0.000
Se 0.500 0.500 0.000
I 0.000 0.000 0.500
I 0.337 0.663 0.500
I 0.663 0.337 0.500

Principal peaks in the range 10° ≤ 2θ ≤ 80°, by angle:
2θ 11.02, I 7.8; 2θ 28.14, I 100.0; 2θ 30.30, I 13.9; 2θ 33.48, I 7.9; 2θ 35.49, I 8.7; 2θ 38.41, I 27.4; 2θ 41.94, I 37.3; 2θ 51.27, I 17.7; 2θ 54.69, I 10.8; 2θ 58.17, I 7.6; 2θ 68.32, I 13.8; 2θ 74.27, I 7.2